Structure and simulated powder X-ray diffraction pattern of Li3SmGa3 (DFT lattice parameters and positions (GGA-PBE); CuKα).
Kinematic intensities with the Lorentz-polarization factor, no thermal factor.

Largest 10 diffraction maxima, in order of rising 2θ, 10 to 80 degrees two-theta:
| d [Å] | Position (°2θ) | Rel. int. |
| --- | --- | --- |
| 8.736 | 10.1 | 76 |
| 6.899 | 12.8 | 100 |
| 6.529 | 13.6 | 73 |
| 3.214 | 27.8 | 61 |
| 2.711 | 33.0 | 35 |
| 2.610 | 34.4 | 77 |
| 2.425 | 37.1 | 56 |
| 2.294 | 39.3 | 61 |
| 2.191 | 41.2 | 43 |
| 2.122 | 42.6 | 30 |

Crystal structure
Cell lengths 7.285, 4.383, 9.224 Å; angles 90.00, 108.72, 90.00 degrees
Fractional positions:
Li 0.030 0.250 0.253
Li 0.188 0.250 0.944
Li 0.276 0.750 0.286
Li 0.724 0.250 0.714
Li 0.812 0.750 0.056
Li 0.970 0.750 0.747
Sm 0.380 0.750 0.710
Sm 0.620 0.250 0.290
Ga 0.054 0.250 0.586
Ga 0.367 0.250 0.480
Ga 0.423 0.750 0.049
Ga 0.577 0.250 0.951
Ga 0.633 0.750 0.520
Ga 0.946 0.750 0.414